Diffraction record for Ac3Np2As2N5. The X-ray diffraction stick pattern is computed, not measured: it uses a PBE-relaxed structure and a wavelength of 1.5418 Å.
No peak broadening, texture or thermal motion is included.

Peak list (8 most intense, 2θ = 5–70°, in order of rising 2θ)
- 27.26 deg, I = 82
- 28.97 deg, I = 100
- 32.61 deg, I = 70
- 41.43 deg, I = 53
- 50.31 deg, I = 33
- 53.45 deg, I = 22
- 53.70 deg, I = 35
- 68.02 deg, I = 21

Cell and atoms:
abc: 12.7546 12.7546 12.7546
angles: 160.33 160.33 27.96
Fractional positions:
Ac  0.0000  0.0000  0.0000
Ac  0.1713  0.1713  0.0000
Ac  0.8287  0.8287  0.0000
Np  0.4148  0.4148  0.0000
Np  0.5852  0.5852  0.0000
As  0.3005  0.3005  0.0000
As  0.6995  0.6995  0.0000
N  0.0844  0.5844  0.5000
N  0.4156  0.9156  0.5000
N  0.5000  0.5000  0.0000
N  0.5844  0.0844  0.5000
N  0.9156  0.4156  0.5000


Diffraction record for TbLuHg4. The X-ray diffraction stick pattern is computed, not measured: it uses a PBE-relaxed structure and a wavelength of 1.5418 Å.
No peak broadening, texture or thermal motion is included.

Peak list (8 most intense, 2θ = 5–70°, in order of rising 2θ)
- 18.32 deg, I = 11
- 30.14 deg, I = 21
- 35.50 deg, I = 100
- 37.13 deg, I = 47
- 43.14 deg, I = 8
- 53.52 deg, I = 8
- 57.06 deg, I = 35
- 62.66 deg, I = 31

Cell and atoms:
abc: 5.9308 5.9308 5.9308
angles: 60.00 60.00 60.00
Fractional positions:
Tb  0.0000  0.0000  0.0000
Lu  0.7500  0.7500  0.7500
Hg  0.3750  0.3750  0.3750
Hg  0.3750  0.3750  0.8751
Hg  0.3750  0.8751  0.3750
Hg  0.8751  0.3750  0.3750


Diffraction record for HoTm3Au. The X-ray diffraction stick pattern is computed, not measured: it uses a PBE-relaxed structure and a wavelength of 1.5418 Å.
No peak broadening, texture or thermal motion is included.

Peak list (8 most intense, 2θ = 5–70°, in order of rising 2θ)
- 28.07 deg, I = 32
- 31.70 deg, I = 100
- 32.65 deg, I = 57
- 34.24 deg, I = 37
- 36.69 deg, I = 83
- 36.84 deg, I = 37
- 43.28 deg, I = 21
- 52.11 deg, I = 29

Cell and atoms:
abc: 7.0283 7.0283 7.7277
angles: 117.19 117.19 73.01
Fractional positions:
Ho  0.0811  0.0811  0.2784
Ho  0.9189  0.9189  0.7216
Tm  0.0116  0.6091  0.2840
Tm  0.3909  0.9884  0.7160
Tm  0.4535  0.4535  0.6858
Tm  0.5465  0.5465  0.3142
Tm  0.6091  0.0116  0.2840
Tm  0.9884  0.3909  0.7160
Au  0.2306  0.2306  0.0662
Au  0.7694  0.7694  0.9338


Diffraction record for Na2Nb2O5. The X-ray diffraction stick pattern is computed, not measured: it uses a PBE-relaxed structure and a wavelength of 1.5418 Å.
No peak broadening, texture or thermal motion is included.

Peak list (8 most intense, 2θ = 5–70°, in order of rising 2θ)
- 21.87 deg, I = 100
- 23.62 deg, I = 58
- 28.64 deg, I = 65
- 32.41 deg, I = 76
- 35.04 deg, I = 47
- 42.58 deg, I = 43
- 44.59 deg, I = 57
- 49.26 deg, I = 51

Cell and atoms:
abc: 4.2898 4.0644 6.2964
angles: 90.00 98.16 90.00
Fractional positions:
Na  0.2205  0.0000  0.1634
Na  0.7795  0.0000  0.8366
Nb  0.2876  0.5000  0.6872
Nb  0.7124  0.5000  0.3128
O  0.2112  0.5000  0.3433
O  0.2705  0.0000  0.6990
O  0.5000  0.5000  0.0000
O  0.7295  0.0000  0.3010
O  0.7888  0.5000  0.6567


Diffraction record for Dy2Ho2Sc5. The X-ray diffraction stick pattern is computed, not measured: it uses a PBE-relaxed structure and a wavelength of 1.5418 Å.
No peak broadening, texture or thermal motion is included.

Peak list (8 most intense, 2θ = 5–70°, in order of rising 2θ)
- 16.69 deg, I = 52
- 21.85 deg, I = 36
- 30.43 deg, I = 47
- 33.01 deg, I = 71
- 33.66 deg, I = 100
- 33.81 deg, I = 48
- 35.45 deg, I = 95
- 35.67 deg, I = 42

Cell and atoms:
abc: 3.4253 8.3767 8.9854
angles: 76.60 79.02 89.94
Fractional positions:
Dy  0.0905  0.3368  0.3178
Dy  0.9095  0.6632  0.6822
Ho  0.1650  0.9995  0.1700
Ho  0.8350  0.0005  0.8300
Sc  0.2391  0.6604  0.0225
Sc  0.4246  0.3347  0.6509
Sc  0.5000  0.0000  0.5000
Sc  0.5754  0.6653  0.3491
Sc  0.7609  0.3396  0.9775


Diffraction record for La3Nd5Sn2. The X-ray diffraction stick pattern is computed, not measured: it uses a PBE-relaxed structure and a wavelength of 1.5418 Å.
No peak broadening, texture or thermal motion is included.

Peak list (8 most intense, 2θ = 5–70°, in order of rising 2θ)
- 25.40 deg, I = 32
- 29.04 deg, I = 100
- 29.26 deg, I = 89
- 34.07 deg, I = 26
- 34.21 deg, I = 58
- 35.20 deg, I = 29
- 38.30 deg, I = 76
- 52.16 deg, I = 39

Cell and atoms:
abc: 10.8296 10.8296 10.8296
angles: 104.66 86.39 144.09
Fractional positions:
La  0.2264  0.1308  0.3572
La  0.2500  0.2500  0.0000
La  0.2736  0.6308  0.9044
La  0.7264  0.3692  0.0956
La  0.7500  0.7500  0.0000
La  0.7736  0.8692  0.6428
Nd  0.1618  0.4085  0.5703
Nd  0.2500  0.5018  0.2518
Nd  0.2500  0.7500  0.5000
Nd  0.2500  0.9982  0.7482
Nd  0.3382  0.9085  0.2467
Nd  0.6618  0.0915  0.7533
Nd  0.7500  0.0018  0.2518
Nd  0.7500  0.2500  0.5000
Nd  0.7500  0.4982  0.7482
Nd  0.8382  0.5915  0.4297
Sn  0.1488  0.8624  0.0111
Sn  0.3512  0.3624  0.7136
Sn  0.6488  0.6376  0.2864
Sn  0.8512  0.1376  0.9889


Diffraction record for CePm5Pb3. The X-ray diffraction stick pattern is computed, not measured: it uses a PBE-relaxed structure and a wavelength of 1.5418 Å.
No peak broadening, texture or thermal motion is included.

Peak list (8 most intense, 2θ = 5–70°, in order of rising 2θ)
- 31.90 deg, I = 100
- 32.37 deg, I = 80
- 41.93 deg, I = 17
- 46.08 deg, I = 30
- 56.84 deg, I = 20
- 57.14 deg, I = 32
- 64.61 deg, I = 27
- 66.67 deg, I = 12

Cell and atoms:
abc: 9.7192 9.7192 6.7273
angles: 90.00 90.00 120.00
Fractional positions:
Ce  0.0000  0.0000  0.0000
Ce  0.0000  0.0000  0.5000
Pm  0.0000  0.3281  0.2500
Pm  0.0000  0.6719  0.7500
Pm  0.3281  0.0000  0.2500
Pm  0.3281  0.3281  0.7500
Pm  0.3333  0.6667  0.0000
Pm  0.3333  0.6667  0.5000
Pm  0.6667  0.3333  0.0000
Pm  0.6667  0.3333  0.5000
Pm  0.6719  0.0000  0.7500
Pm  0.6719  0.6719  0.2500
Pb  0.0000  0.3372  0.7500
Pb  0.0000  0.6628  0.2500
Pb  0.3372  0.0000  0.7500
Pb  0.3372  0.3372  0.2500
Pb  0.6628  0.0000  0.2500
Pb  0.6628  0.6628  0.7500


Diffraction record for ErIn2Hg5. The X-ray diffraction stick pattern is computed, not measured: it uses a PBE-relaxed structure and a wavelength of 1.5418 Å.
No peak broadening, texture or thermal motion is included.

Peak list (8 most intense, 2θ = 5–70°, in order of rising 2θ)
- 9.78 deg, I = 5
- 33.55 deg, I = 100
- 38.46 deg, I = 35
- 39.86 deg, I = 17
- 55.52 deg, I = 12
- 56.59 deg, I = 23
- 66.45 deg, I = 28
- 68.38 deg, I = 13

Cell and atoms:
abc: 4.6816 4.6816 18.0903
angles: 90.00 90.00 90.00
Fractional positions:
Er  0.0000  0.0000  0.0000
Er  0.5000  0.5000  0.5000
In  0.0000  0.0000  0.2446
In  0.0000  0.0000  0.7554
In  0.5000  0.5000  0.2554
In  0.5000  0.5000  0.7446
Hg  0.0000  0.0000  0.5000
Hg  0.0000  0.5000  0.1231
Hg  0.0000  0.5000  0.3769
Hg  0.0000  0.5000  0.6231
Hg  0.0000  0.5000  0.8769
Hg  0.5000  0.0000  0.1231
Hg  0.5000  0.0000  0.3769
Hg  0.5000  0.0000  0.6231
Hg  0.5000  0.0000  0.8769
Hg  0.5000  0.5000  0.0000